The following is a calculated PXRD pattern of Pm2PrGe4Pt3. It was derived from a structure optimized by DFT (PBE), using λ = 1.5418 Å (Cu Kα).
Intensities are scaled so that the largest is 100.

Structural model:
```
10
Lattice="4.3415 0.0000 0.0000 0.0000 4.3415 0.0000 0.0000 0.0000 11.4984" Properties=species:S:1:pos:R:3 pbc="T T T"
Pm 0.0000 2.1708 2.5629
Pm 2.1708 0.0000 8.9355
Pr 0.0000 0.0000 5.7492
Ge 0.0000 0.0000 0.0000
Ge 0.0000 2.1708 7.7288
Ge 2.1708 0.0000 3.7696
Ge 2.1708 2.1708 0.0000
Pt 0.0000 2.1708 10.1918
Pt 2.1708 0.0000 1.3066
Pt 2.1708 2.1708 5.7492
```

Main lines, by angle (2θ = 15–90°):
d_spacing, I/Imax
2.966, 41.1
2.873, 63.6
2.708, 100.0
2.397, 21.6
2.171, 73.4
2.098, 35.7
1.732, 30.8
1.535, 25.1
1.364, 23.7
1.335, 22.1



The following is a calculated PXRD pattern of HfOs2Au2. It was derived from a structure optimized by DFT (PBE), using λ = 1.5418 Å (Cu Kα).
Intensities are scaled so that the largest is 100.

Structural model:
```
10
Lattice="6.8805 0.0000 0.0000 0.0000 6.8805 0.0000 0.0000 0.0000 3.7923" Properties=species:S:1:pos:R:3 pbc="T T T"
Hf 0.0000 0.0000 0.0000
Hf 3.4402 3.4402 0.0000
Os 0.8660 2.5742 0.0000
Os 2.5742 6.0144 0.0000
Os 4.3063 0.8660 0.0000
Os 6.0144 4.3063 0.0000
Au 1.1979 4.6381 1.8962
Au 2.2424 1.1979 1.8962
Au 4.6381 5.6826 1.8962
Au 5.6826 2.2424 1.8962
```

Main lines, by angle (2θ = 15–90°):
d_spacing, I/Imax
2.548, 31.6
2.433, 8.2
2.389, 100.0
2.176, 37.1
1.896, 18.5
1.527, 9.5
1.429, 19.7
1.271, 10.5
1.211, 10.1
1.169, 10.9



The following is a calculated PXRD pattern of TlIn4PbS8. It was derived from a structure optimized by DFT (PBE), using λ = 1.5418 Å (Cu Kα).
Intensities are scaled so that the largest is 100.

Structural model:
```
14
Lattice="3.9784 2.2969 6.6566 -3.9784 2.2969 6.6566 0.0000 -4.5938 6.6566" Properties=species:S:1:pos:R:3 pbc="T T T"
Tl 0.0000 0.0000 0.0000
In -1.9956 -1.1522 9.1331
In 0.0000 0.0000 4.8262
In 1.9956 -1.1522 9.1331
In 0.0000 2.3043 9.1331
Pb 0.0000 0.0000 12.5244
S 0.0000 -2.2075 10.5941
S -1.9118 1.1038 10.5941
S 0.0000 0.0000 7.6118
S -1.8721 -1.0808 14.4091
S 1.9118 1.1038 10.5941
S 0.0000 0.0000 17.2111
S 1.8721 -1.0808 14.4091
S 0.0000 2.1617 14.4091
```

Main lines, by angle (2θ = 15–90°):
d_spacing, I/Imax
3.978, 41.2
3.456, 54.2
3.415, 100.0
3.395, 22.7
2.836, 26.7
2.182, 35.5
2.171, 29.5
2.021, 46.6
1.989, 48.4
1.467, 16.9



The following is a calculated PXRD pattern of KWBr2. It was derived from a structure optimized by DFT (PBE), using λ = 1.5418 Å (Cu Kα).
Intensities are scaled so that the largest is 100.

Structural model:
```
4
Lattice="-1.9668 3.1850 5.3335 1.9668 -3.1850 5.3335 1.9668 3.1850 -5.3335" Properties=species:S:1:pos:R:3 pbc="T T T"
K 0.0000 0.0000 0.0000
W 0.0000 0.0000 5.3335
Br 1.9668 0.0000 3.6058
Br 0.0000 3.1850 1.7277
```

Main lines, by angle (2θ = 15–90°):
d_spacing, I/Imax
5.469, 100.0
5.333, 20.5
3.185, 40.5
2.835, 69.2
2.638, 30.0
2.085, 41.9
2.031, 28.3
1.763, 16.8
1.673, 12.0
1.530, 12.3



The following is a calculated PXRD pattern of Ba2Te3. It was derived from a structure optimized by DFT (PBE), using λ = 1.5418 Å (Cu Kα).
Intensities are scaled so that the largest is 100.

Structural model:
```
10
Lattice="-3.2449 3.2449 9.1509 3.2449 -3.2449 9.1509 3.2449 3.2449 -9.1509" Properties=species:S:1:pos:R:3 pbc="T T T"
Ba 3.2449 1.6225 -3.2538
Ba 0.0000 1.6225 1.3216
Ba 3.2449 1.6225 7.8293
Ba 0.0000 1.6225 12.4047
Te 3.2449 0.0000 0.0000
Te 3.2449 -1.6225 6.8631
Te -1.6225 1.6225 4.5754
Te 0.0000 0.0000 9.1509
Te 1.6225 1.6225 4.5754
Te 0.0000 4.8674 2.2877
```

Main lines, by angle (2θ = 15–90°):
d_spacing, I/Imax
3.245, 49.8
3.188, 100.0
3.058, 34.9
2.867, 70.7
2.621, 27.6
2.051, 34.5
1.862, 21.2
1.701, 25.5
1.622, 28.2
1.446, 18.5



The following is a calculated PXRD pattern of InFeSn2Br. It was derived from a structure optimized by DFT (PBE), using λ = 1.5418 Å (Cu Kα).
Intensities are scaled so that the largest is 100.

Structural model:
```
5
Lattice="4.9179 0.0000 0.0000 0.0000 4.9179 0.0000 0.0000 0.0000 5.1475" Properties=species:S:1:pos:R:3 pbc="T T T"
In 0.0000 0.0000 0.0000
Fe 0.0000 0.0000 2.5737
Sn 0.0000 2.4589 2.5737
Sn 2.4589 0.0000 2.5737
Br 2.4589 2.4589 0.0000
```

Main lines, by angle (2θ = 15–90°):
d_spacing, I/Imax
4.918, 11.6
2.882, 100.0
2.574, 31.6
2.459, 55.5
1.778, 41.5
1.739, 19.3
1.539, 15.6
1.489, 28.0
1.441, 20.7
1.152, 12.9



The following is a calculated PXRD pattern of Nb2Pd7Pt3. It was derived from a structure optimized by DFT (PBE), using λ = 1.5418 Å (Cu Kα).
Intensities are scaled so that the largest is 100.

Structural model:
```
12
Lattice="2.8019 0.0000 0.0000 0.0000 4.4510 0.0000 -1.4076 0.0000 16.6932" Properties=species:S:1:pos:R:3 pbc="T T T"
Nb -0.0006 0.0000 4.6475
Nb 1.3949 0.0000 12.0457
Pd 0.0010 2.2255 3.0659
Pd -0.0033 0.0000 7.1604
Pd -0.0075 0.0000 14.3838
Pd 1.4009 2.2255 0.0000
Pd 1.4018 0.0000 2.3094
Pd 1.3976 0.0000 9.5328
Pd 1.3933 2.2255 13.6273
Pt 0.0000 0.0000 0.0000
Pt -0.0059 2.2255 10.9868
Pt 1.4003 2.2255 5.7064
```

Main lines, by angle (2θ = 15–90°):
d_spacing, I/Imax
5.564, 19.0
3.927, 14.5
2.782, 14.2
2.359, 16.8
2.319, 13.0
2.235, 100.0
2.226, 40.8
2.123, 34.3
2.102, 32.2
1.577, 19.7



The following is a calculated PXRD pattern of Ac2PrSb3Pd6. It was derived from a structure optimized by DFT (PBE), using λ = 1.5418 Å (Cu Kα).
Intensities are scaled so that the largest is 100.

Structural model:
```
12
Lattice="4.4094 0.0000 0.0000 0.0000 4.4094 0.0000 0.0000 0.0000 16.9407" Properties=species:S:1:pos:R:3 pbc="T T T"
Ac 0.0000 0.0000 3.3506
Ac 0.0000 0.0000 13.5901
Pr 0.0000 0.0000 8.4704
Sb 2.2047 2.2047 0.0000
Sb 2.2047 2.2047 5.0634
Sb 2.2047 2.2047 11.8774
Pd 0.0000 2.2047 6.4797
Pd 0.0000 2.2047 10.4610
Pd 2.2047 0.0000 6.4797
Pd 2.2047 0.0000 10.4610
Pd 2.2047 2.2047 2.4839
Pd 2.2047 2.2047 14.4568
```

Main lines, by angle (2θ = 15–90°):
d_spacing, I/Imax
3.475, 100.0
3.118, 52.2
3.066, 47.7
2.729, 59.9
2.511, 53.5
2.205, 96.4
2.122, 69.4
2.093, 39.1
1.862, 35.4
1.529, 49.3



Please write out number 7 again, unchanged.
The following is a calculated PXRD pattern of Nb2Pd7Pt3. It was derived from a structure optimized by DFT (PBE), using λ = 1.5418 Å (Cu Kα).
Intensities are scaled so that the largest is 100.

Structural model:
```
12
Lattice="2.8019 0.0000 0.0000 0.0000 4.4510 0.0000 -1.4076 0.0000 16.6932" Properties=species:S:1:pos:R:3 pbc="T T T"
Nb -0.0006 0.0000 4.6475
Nb 1.3949 0.0000 12.0457
Pd 0.0010 2.2255 3.0659
Pd -0.0033 0.0000 7.1604
Pd -0.0075 0.0000 14.3838
Pd 1.4009 2.2255 0.0000
Pd 1.4018 0.0000 2.3094
Pd 1.3976 0.0000 9.5328
Pd 1.3933 2.2255 13.6273
Pt 0.0000 0.0000 0.0000
Pt -0.0059 2.2255 10.9868
Pt 1.4003 2.2255 5.7064
```

Main lines, by angle (2θ = 15–90°):
d_spacing, I/Imax
5.564, 19.0
3.927, 14.5
2.782, 14.2
2.359, 16.8
2.319, 13.0
2.235, 100.0
2.226, 40.8
2.123, 34.3
2.102, 32.2
1.577, 19.7